# 1
Dy6Cd5In: simulated XRD peak list (copper Kα), based on a DFT-relaxed cell (GGA-PBE, Alexandria).

Principal peaks in the range 2θ = 10–80°, low angle first:
| 2theta | intensity |
| --- | --- |
| 23.72 | 2.5 |
| 33.82 | 100.0 |
| 33.92 | 19.8 |
| 48.47 | 7.2 |
| 48.61 | 7.1 |
| 48.72 | 7.1 |
| 60.46 | 22.0 |
| 60.57 | 14.6 |
| 60.66 | 7.3 |
| 71.12 | 9.0 |
| 71.19 | 2.2 |
| 71.38 | 2.2 |

Cell and atoms:
```
data_Dy6Cd5In
_cell_length_a 5.2860
_cell_length_b 7.5127
_cell_length_c 8.3704
_cell_angle_alpha 90.00
_cell_angle_beta 108.29
_cell_angle_gamma 90.00
_symmetry_space_group_name_H-M 'P 1'
_symmetry_Int_Tables_number 1
loop_
_symmetry_equiv_pos_as_xyz
'x,y,z'
loop_
_atom_site_label
_atom_site_fract_x
_atom_site_fract_y
_atom_site_fract_z
Dy1 0.0000 0.2492 0.0000
Dy2 0.0000 0.7508 0.0000
Dy3 0.3330 0.2489 0.6661
Dy4 0.3330 0.7511 0.6661
Dy5 0.6670 0.2489 0.3339
Dy6 0.6670 0.7511 0.3339
Cd1 0.1667 0.0000 0.3326
Cd2 0.1690 0.5000 0.3379
Cd3 0.5000 0.0000 0.0000
Cd4 0.8310 0.5000 0.6621
Cd5 0.8333 0.0000 0.6674
In1 0.5000 0.5000 0.0000
```

---

# 2
Mg3H4Ir3: simulated XRD peak list (copper Kα), based on a DFT-relaxed cell (GGA-PBE, Alexandria).

Principal peaks in the range 2θ = 10–80°, low angle first:
| 2theta | intensity |
| --- | --- |
| 19.32 | 55.8 |
| 21.67 | 100.0 |
| 23.05 | 26.3 |
| 31.29 | 15.2 |
| 34.32 | 19.4 |
| 37.04 | 87.9 |
| 38.39 | 45.8 |
| 39.22 | 84.9 |
| 44.16 | 20.9 |
| 47.08 | 34.7 |
| 52.46 | 18.4 |
| 69.62 | 19.7 |

Cell and atoms:
```
data_Mg3H4Ir3
_cell_length_a 5.2620
_cell_length_b 5.2620
_cell_length_c 5.2716
_cell_angle_alpha 114.27
_cell_angle_beta 114.27
_cell_angle_gamma 65.85
_symmetry_space_group_name_H-M 'P 1'
_symmetry_Int_Tables_number 1
loop_
_symmetry_equiv_pos_as_xyz
'x,y,z'
loop_
_atom_site_label
_atom_site_fract_x
_atom_site_fract_y
_atom_site_fract_z
Mg1 0.0000 0.0000 0.0000
Mg2 0.3981 0.3127 0.5975
Mg3 0.6873 0.6019 0.4025
H1 0.0536 0.6789 0.3498
H2 0.3027 0.4572 0.0611
H3 0.3211 0.9464 0.6502
H4 0.5428 0.6973 0.9389
Ir1 0.4653 0.0969 0.0316
Ir2 0.9031 0.5347 0.9684
Ir3 0.9431 0.0569 0.5000
```

---

# 3
Ca4Tl5Pb2: simulated XRD peak list (copper Kα), based on a DFT-relaxed cell (GGA-PBE, Alexandria).

Principal peaks in the range 2θ = 10–80°, low angle first:
| 2theta | intensity |
| --- | --- |
| 23.52 | 100.0 |
| 26.77 | 25.6 |
| 30.66 | 29.3 |
| 30.98 | 24.7 |
| 31.22 | 80.1 |
| 31.40 | 44.5 |
| 35.66 | 23.8 |
| 35.90 | 55.9 |
| 36.25 | 30.4 |
| 39.00 | 24.8 |
| 48.10 | 28.8 |
| 61.11 | 24.9 |

Cell and atoms:
```
data_Ca4Tl5Pb2
_cell_length_a 10.0136
_cell_length_b 3.7829
_cell_length_c 10.0738
_cell_angle_alpha 90.00
_cell_angle_beta 119.12
_cell_angle_gamma 90.00
_symmetry_space_group_name_H-M 'P 1'
_symmetry_Int_Tables_number 1
loop_
_symmetry_equiv_pos_as_xyz
'x,y,z'
loop_
_atom_site_label
_atom_site_fract_x
_atom_site_fract_y
_atom_site_fract_z
Ca1 0.2285 0.0000 0.0019
Ca2 0.2397 0.0000 0.4789
Ca3 0.7603 0.0000 0.5211
Ca4 0.7715 0.0000 0.9981
Tl1 0.0915 0.5000 0.1777
Tl2 0.4552 0.5000 0.3185
Tl3 0.5000 0.5000 0.0000
Tl4 0.5448 0.5000 0.6815
Tl5 0.9085 0.5000 0.8223
Pb1 0.1372 0.5000 0.6861
Pb2 0.8628 0.5000 0.3139
```

---

# 4
NaCdBi2: simulated XRD peak list (copper Kα), based on a DFT-relaxed cell (GGA-PBE, Alexandria).

Principal peaks in the range 2θ = 10–80°, low angle first:
| 2theta | intensity |
| --- | --- |
| 21.27 | 54.0 |
| 22.97 | 75.3 |
| 32.59 | 100.0 |
| 36.21 | 87.5 |
| 41.13 | 37.4 |
| 47.71 | 20.6 |
| 49.50 | 31.3 |
| 55.94 | 15.3 |
| 62.85 | 30.7 |
| 65.12 | 16.0 |
| 68.47 | 16.8 |
| 74.30 | 19.5 |

Cell and atoms:
```
data_NaCdBi2
_cell_length_a 6.6087
_cell_length_b 6.6087
_cell_length_c 6.6087
_cell_angle_alpha 44.10
_cell_angle_beta 44.10
_cell_angle_gamma 44.10
_symmetry_space_group_name_H-M 'P 1'
_symmetry_Int_Tables_number 1
loop_
_symmetry_equiv_pos_as_xyz
'x,y,z'
loop_
_atom_site_label
_atom_site_fract_x
_atom_site_fract_y
_atom_site_fract_z
Na1 0.0000 0.0000 0.0000
Cd1 0.1814 0.1814 0.1814
Bi1 0.5890 0.5890 0.5890
Bi2 0.7638 0.7638 0.7638
```